Simulated X-ray diffraction stick pattern
Compound: Pr2HoGa3
Radiation: Cu Kα (weighted mean of Kα1 and Kα2)
Structure: a cell relaxed with PBE
Peak positions follow from Bragg's law for the DFT cell and can differ from measured ones.

Principal peaks in the range 5° ≤ 2θ ≤ 70°, low angle first:
d 3.740, rel. 15; d 3.161, rel. 21; d 3.068, rel. 13; d 2.821, rel. 100; d 2.612, rel. 21; d 2.542, rel. 9; d 2.465, rel. 10; d 2.378, rel. 27; d 2.348, rel. 12; d 1.900, rel. 10; d 1.752, rel. 15; d 1.445, rel. 13

Cell and atoms:
a = 10.792 Å, b = 10.792 Å, c = 6.321 Å
α = 90.00°, β = 90.00°, γ = 154.54°
Atoms (fractional coordinates):
Pr: 0.036 0.964 0.750
Pr: 0.149 0.851 0.250
Pr: 0.851 0.149 0.750
Pr: 0.964 0.036 0.250
Ho: 0.326 0.674 0.250
Ho: 0.674 0.326 0.750
Ga: 0.253 0.747 0.750
Ga: 0.437 0.563 0.549
Ga: 0.437 0.563 0.951
Ga: 0.563 0.437 0.049
Ga: 0.563 0.437 0.451
Ga: 0.747 0.253 0.250